Structure and calculated PXRD pattern of BaV3O8 (a structure optimized by DFT (GGA+U); Cu Kα, 1.54184 Å).
Kinematic intensities with the Lorentz-polarization factor, no thermal factor.

Structure:
Cell lengths 7.605, 5.637, 8.376 Å; angles 90.00, 107.39, 90.00 degrees
Sites, in units of the cell vectors:
Ba 0.211 0.250 0.402
Ba 0.789 0.750 0.598
V 0.068 0.250 0.863
V 0.294 0.750 0.724
V 0.416 0.750 0.183
V 0.584 0.250 0.817
V 0.706 0.250 0.276
V 0.932 0.750 0.137
O 0.131 0.502 0.774
O 0.131 0.998 0.774
O 0.164 0.250 0.069
O 0.173 0.750 0.518
O 0.184 0.750 0.190
O 0.428 0.750 0.986
O 0.475 0.003 0.701
O 0.475 0.497 0.701
O 0.525 0.503 0.299
O 0.525 0.997 0.299
O 0.572 0.250 0.014
O 0.816 0.250 0.810
O 0.827 0.250 0.482
O 0.836 0.750 0.931
O 0.869 0.002 0.226
O 0.869 0.498 0.226

The 10 most intense peaks (10 to 80 degrees two-theta), most intense first:
index  Position (°2θ)  intensity
0 1 2  27.36  100
2 1 -1  28.56  69
0 2 0  31.75  52
2 1 0  29.27  48
1 1 -2  27.11  40
2 0 -2  27.83  26
1 1 -1  20.98  25
2 2 -1  40.00  23
4 2 -1  58.69  23
2 0 0  24.57  22